Simulated XRD peak list
Compound: V3Co3Te2O16
Radiation: a wavelength of 1.5418 Å
Structure: a crystal structure in Alexandria, relaxed with PBE+U

Atomic structure:
Unit cell a=5.938 b=5.967 c=10.059 alpha=91.48 beta=91.52 gamma=118.69
Space group P1 (No. 1)
Symmetry-distinct sites (fractional):
V  0.000  0.000  0.000 (multiplicity 1)
V  0.089  0.544  0.942 (multiplicity 1)
V  0.234  0.429  0.491 (multiplicity 1)
Co  0.513  0.064  0.943 (multiplicity 1)
Co  0.723  0.410  0.480 (multiplicity 1)
Co  0.733  0.901  0.481 (multiplicity 1)
Te  0.243  0.927  0.281 (multiplicity 1)
Te  0.579  0.581  0.741 (multiplicity 1)
O  0.090  0.089  0.386 (multiplicity 1)
O  0.108  0.611  0.391 (multiplicity 1)
O  0.125  0.846  0.874 (multiplicity 1)
O  0.235  0.428  0.829 (multiplicity 1)
O  0.309  0.170  0.078 (multiplicity 1)
O  0.325  0.703  0.059 (multiplicity 1)
O  0.392  0.288  0.611 (multiplicity 1)
O  0.408  0.714  0.613 (multiplicity 1)
O  0.537  0.543  0.390 (multiplicity 1)
O  0.578  0.093  0.371 (multiplicity 1)
O  0.701  0.401  0.851 (multiplicity 1)
O  0.706  0.889  0.851 (multiplicity 1)
O  0.850  0.700  0.612 (multiplicity 1)
O  0.863  0.771  0.108 (multiplicity 1)
O  0.888  0.245  0.030 (multiplicity 1)
O  0.915  0.267  0.561 (multiplicity 1)

The 8 most intense peaks (10 to 80 degrees two-theta), in order of rising 2θ:
hkl 0 0 2, 17.66°, intensity 40; hkl 0 1 -1, 18.81°, intensity 100; hkl 0 1 1, 19.47°, intensity 100; hkl 1 0 1, 19.56°, intensity 34; hkl -1 1 2, 24.82°, intensity 39; hkl 1 0 -3, 31.10°, intensity 32; hkl 1 -1 3, 31.94°, intensity 40; hkl -1 2 2, 35.38°, intensity 30